This entry pairs a crystal structure of Fe3Ge2 with its theoretical powder XRD pattern. Radiation: Cu Kα (λ = 1.5418 Å). Structure: DFT lattice parameters and positions (PBE).
Peak positions follow from Bragg's law for the DFT cell and can differ from measured ones.

Peak list (6 most intense, 10 to 90 degrees two-theta, low angle first)
| 2θ (°) | I/Imax | index |
| --- | --- | --- |
| 35.06 | 23 | 2 0 1 |
| 39.52 | 17 | 1 1 1 |
| 45.27 | 34 | 0 2 0 |
| 45.43 | 41 | 5 1 0 |
| 45.60 | 100 | 3 1 -1 |
| 83.02 | 17 | 0 2 2 |

Structure:
```
data_Fe3Ge2
_chemical_formula_sum 'Fe6 Ge4'
_symmetry_space_group_name_H-M 'C 1 2/m 1'
_symmetry_Int_Tables_number 12
_symmetry_space_group_name_Hall '-C 2y'
_cell_length_a 11.513
_cell_length_b 4.006
_cell_length_c 2.858
_cell_angle_alpha 90.00
_cell_angle_beta 90.15
_cell_angle_gamma 90.00
loop_
_atom_site_label
_atom_site_fract_x
_atom_site_fract_y
_atom_site_fract_z
Fe1 0.000 0.000 0.000
Fe2 0.183 0.000 0.501
Ge1 0.128 0.500 0.999
```